Entry 1:
Diffraction record for BaP2H4O8. The powder diffractogram is calculated, not measured: it uses a DFT-relaxed cell (GGA-PBE, the Materials Project) and a wavelength of 1.5418 Å.
Neutral-atom scattering factors, no anomalous dispersion.

Peak list (10 most intense, 2θ from 10° to 90°, low angle first)
2θ/deg, d [Å], intensity
11.2, 7.899, 80
15.5, 5.730, 79
19.4, 4.583, 53
21.0, 4.234, 50
23.3, 3.815, 100
25.5, 3.489, 55
26.2, 3.397, 51
26.8, 3.327, 54
28.9, 3.092, 46
31.2, 2.865, 40

Structure:
```
BaP2H4O8
1.0
7.0745 0.0000 0.0000
-1.8633 7.1967 0.0000
-1.4705 -1.9927 7.8987
Ba P H O
2 4 8 16
Cartesian
0.5767 1.1125 2.9357
3.1641 4.0915 4.9630
-0.3140 4.5657 3.0527
0.2128 -0.5006 7.2132
3.5279 5.7046 0.6855
4.0547 0.6383 4.8460
0.0000 0.0000 0.0000
-1.1522 1.1866 5.9142
-0.9835 5.7323 4.8466
1.2181 5.9608 1.4089
3.5372 0.0000 0.0000
2.5226 -0.7568 6.4898
4.7242 -0.5283 3.0521
4.8930 4.0174 1.9845
-1.2579 3.5867 2.2565
-0.6972 -1.7596 6.9981
-1.3564 5.1133 4.1826
0.1365 0.4238 5.9971
0.1290 5.8087 2.2843
1.5192 2.0580 0.6975
0.7840 3.7392 3.6768
1.7347 -1.1527 7.0997
2.0060 6.3567 0.7990
2.9567 1.4648 4.2219
2.2215 3.1460 7.2012
3.6117 -0.6047 5.6144
3.6042 4.7802 1.9016
5.0971 0.0907 3.7161
4.4379 6.9636 0.9006
4.9986 1.6173 5.6422
```



Entry 2:
Diffraction record for Ba2PrIrO6. The powder diffractogram is calculated, not measured: it uses a DFT-relaxed cell (GGA-PBE, the Materials Project) and a wavelength of 1.5418 Å.
Neutral-atom scattering factors, no anomalous dispersion.

Peak list (10 most intense, 2θ from 10° to 90°, low angle first)
2θ/deg, d [Å], intensity
29.3, 3.050, 100
41.7, 2.164, 9
42.0, 2.153, 18
51.8, 1.764, 14
52.0, 1.759, 27
60.7, 1.526, 12
69.0, 1.362, 12
83.8, 1.155, 7
84.0, 1.152, 7
84.1, 1.151, 7

Structure:
```
Ba2PrIrO6
1.0
6.0886 0.0000 0.0000
0.0000 6.0886 0.0000
0.0000 0.0000 8.6559
Ba Pr Ir O
4 2 2 12
Cartesian
0.0000 3.0443 2.1640
0.0000 3.0443 6.4919
3.0443 0.0000 2.1640
3.0443 0.0000 6.4919
0.0000 0.0000 0.0000
3.0443 3.0443 4.3279
0.0000 0.0000 4.3279
3.0443 3.0443 0.0000
0.0000 0.0000 2.3356
0.0000 0.0000 6.3203
1.2706 1.5258 4.3279
1.5185 1.7737 0.0000
1.5258 4.8179 4.3279
1.7737 4.5701 0.0000
3.0443 3.0443 1.9923
3.0443 3.0443 6.6635
4.3149 1.5185 0.0000
4.5628 1.2706 4.3279
4.5701 4.3149 0.0000
4.8179 4.5628 4.3279
```



Entry 3:
Diffraction record for DyGa4Ni. The powder diffractogram is calculated, not measured: it uses a DFT-relaxed cell (GGA-PBE, the Materials Project) and a wavelength of 1.5418 Å.
Neutral-atom scattering factors, no anomalous dispersion.

Peak list (10 most intense, 2θ from 10° to 90°, low angle first)
2θ/deg, d [Å], intensity
31.0, 2.881, 13
35.4, 2.536, 100
36.0, 2.492, 18
36.6, 2.455, 54
37.9, 2.374, 31
39.2, 2.298, 50
43.9, 2.062, 37
45.0, 2.013, 24
59.4, 1.557, 16
64.7, 1.441, 16

Structure:
```
DyGa4Ni
1.0
2.0624 -7.6365 0.0000
2.0624 7.6365 0.0000
0.0000 0.0000 6.5790
Dy Ga Ni
2 8 2
Cartesian
2.0624 5.8302 4.9343
2.0624 -5.8302 1.6448
2.0624 6.5323 1.6448
2.0624 2.8470 3.6253
2.0624 2.8470 6.2433
2.0624 0.0000 0.0000
2.0624 0.0000 3.2895
2.0624 -2.8470 0.3358
2.0624 -2.8470 2.9538
2.0624 -6.5323 4.9343
2.0624 4.2059 1.6448
2.0624 -4.2059 4.9343
```



Entry 4:
Diffraction record for GaSeBr7. The powder diffractogram is calculated, not measured: it uses a DFT-relaxed cell (GGA-PBE, the Materials Project) and a wavelength of 1.5418 Å.
Neutral-atom scattering factors, no anomalous dispersion.

Peak list (10 most intense, 2θ from 10° to 90°, low angle first)
2θ/deg, d [Å], intensity
15.4, 5.760, 100
17.7, 5.004, 75
18.5, 4.801, 56
23.7, 3.747, 88
27.0, 3.302, 78
28.0, 3.183, 95
28.7, 3.111, 84
32.6, 2.745, 66
32.9, 2.720, 61
47.3, 1.920, 67

Structure:
```
GaSeBr7
1.0
7.0065 0.0000 0.0000
0.0000 6.7733 0.0000
-3.7235 0.0000 14.8532
Ga Se Br
2 2 14
Cartesian
0.0000 0.0144 0.0000
-1.8617 6.7589 7.4266
1.4065 2.7543 2.3828
-0.4553 4.0189 9.8094
-1.6815 2.6710 11.3271
0.1802 4.1023 3.9005
2.2267 0.8544 0.0473
0.3650 5.9188 7.4739
2.4446 1.2593 3.9306
0.5828 5.5140 11.3572
1.4260 2.6385 9.3687
3.2878 4.1348 1.9421
2.2056 0.9018 12.9421
4.0673 5.8715 5.5155
6.0113 0.8792 1.9926
4.1496 5.8941 9.4192
4.9921 2.3305 7.3601
3.1304 4.4427 14.7867
```



Entry 5:
Diffraction record for Cs2LiTaI6. The powder diffractogram is calculated, not measured: it uses a DFT-relaxed cell (GGA-PBE, the Materials Project) and a wavelength of 1.5418 Å.
Neutral-atom scattering factors, no anomalous dispersion.

Peak list (10 most intense, 2θ from 10° to 90°, low angle first)
2θ/deg, d [Å], intensity
13.0, 6.797, 30
21.3, 4.163, 13
26.2, 3.399, 94
30.4, 2.943, 100
43.5, 2.081, 73
51.5, 1.775, 42
54.0, 1.699, 26
69.6, 1.351, 16
71.7, 1.316, 32
79.8, 1.202, 24

Structure:
```
Cs2LiTaI6
1.0
0.0000 5.8867 5.8867
5.8867 0.0000 5.8867
5.8867 5.8867 0.0000
Cs Li Ta I
2 1 1 6
Cartesian
2.9433 2.9433 2.9433
8.8300 8.8300 8.8300
0.0000 0.0000 0.0000
5.8867 5.8867 5.8867
5.8867 5.8867 3.0324
5.8867 3.0324 5.8867
8.7410 5.8867 5.8867
3.0324 5.8867 5.8867
5.8867 8.7410 5.8867
5.8867 5.8867 8.7410
```